For BaSrNdFeO6, a DFT-relaxed cell (GGA+U, the Materials Project) gives the theoretical X-ray diffraction stick pattern in this record (Cu Kα).
Peak positions follow from Bragg's law for the DFT cell and can differ from measured ones.

Top 10 peaks for 2θ from 15° to 90°, sorted by position:
hkl 1 1 1, 18.3°, I = 9
hkl 2 2 0, 30.2°, I = 100
hkl 3 1 1, 35.5°, I = 8
hkl 4 0 0, 43.2°, I = 32
hkl 3 3 1, 47.3°, I = 5
hkl 4 2 2, 53.6°, I = 39
hkl 4 4 0, 62.7°, I = 19
hkl 6 2 0, 71.2°, I = 18
hkl 4 4 4, 79.2°, I = 6
hkl 6 4 2, 87.0°, I = 21

Structural model:
```
data_BaSrNdFeO6
_chemical_formula_sum 'Ba4 Sr4 Nd4 Fe4 O24'
_space_group_name_H-M_alt 'F -4 3 m'
_space_group_IT_number 216
_space_group_name_Hall 'F -4 2 3'
_cell_length_a 8.377
_cell_length_b 8.377
_cell_length_c 8.377
_cell_angle_alpha 90.00
_cell_angle_beta 90.00
_cell_angle_gamma 90.00
loop_
_atom_site_label
_atom_site_fract_x
_atom_site_fract_y
_atom_site_fract_z
_atom_site_occupancy
Ba1 0.000 0.000 0.000 1
Sr1 0.000 0.000 0.500 1
Nd1 0.250 0.250 0.250 1
Fe1 0.250 0.250 0.750 1
O1 0.023 0.250 0.750 1
```



For BaFeO3, a DFT-relaxed cell (GGA+U, the Materials Project) gives the theoretical X-ray diffraction stick pattern in this record (Cu Kα).
Peak positions follow from Bragg's law for the DFT cell and can differ from measured ones.

Top 10 peaks for 2θ from 15° to 90°, sorted by position:
hkl 1 0 0, 22.0°, I = 11
hkl 1 1 0, 31.4°, I = 100
hkl 1 1 1, 38.7°, I = 18
hkl 2 0 0, 45.0°, I = 34
hkl 2 1 0, 50.6°, I = 6
hkl 2 1 1, 55.8°, I = 39
hkl 2 2 0, 65.5°, I = 20
hkl 3 1 0, 74.4°, I = 17
hkl 3 1 1, 78.7°, I = 6
hkl 2 2 2, 82.9°, I = 7

Structural model:
```
data_BaFeO3
_chemical_formula_sum 'Ba1 Fe1 O3'
_space_group_name_H-M_alt 'P m -3 m'
_space_group_IT_number 221
_space_group_name_Hall '-P 4 2 3'
_cell_length_a 4.033
_cell_length_b 4.033
_cell_length_c 4.033
_cell_angle_alpha 90.00
_cell_angle_beta 90.00
_cell_angle_gamma 90.00
loop_
_atom_site_label
_atom_site_fract_x
_atom_site_fract_y
_atom_site_fract_z
_atom_site_occupancy
Ba1 0.000 0.000 0.000 1
Fe1 0.500 0.500 0.500 1
O1 0.000 0.500 0.500 1
```



For Ba3Fe3O8, a DFT-relaxed cell (GGA+U, the Materials Project) gives the theoretical X-ray diffraction stick pattern in this record (Cu Kα).
Peak positions follow from Bragg's law for the DFT cell and can differ from measured ones.

Top 10 peaks for 2θ from 15° to 90°, sorted by position:
hkl 0 2 1, 21.9°, I = 12
hkl 6 2 1, 30.4°, I = 100
hkl 0 0 2, 31.2°, I = 50
hkl 6 4 0, 37.8°, I = 24
hkl 12 0 0, 42.4°, I = 15
hkl 0 4 2, 44.7°, I = 30
hkl 12 0 2, 53.6°, I = 15
hkl 6 2 3, 55.0°, I = 36
hkl 12 4 2, 63.3°, I = 15
hkl 6 6 3, 73.5°, I = 8

Structural model:
```
data_Ba3Fe3O8
_chemical_formula_sum 'Ba24 Fe24 O64'
_space_group_name_H-M_alt 'C m c m'
_space_group_IT_number 63
_space_group_name_Hall '-C 2c 2'
_cell_length_a 25.573
_cell_length_b 11.456
_cell_length_c 5.741
_cell_angle_alpha 90.00
_cell_angle_beta 90.00
_cell_angle_gamma 90.00
loop_
_atom_site_label
_atom_site_fract_x
_atom_site_fract_y
_atom_site_fract_z
_atom_site_occupancy
Ba1 0.000 0.125 0.250 1
Ba2 0.000 0.373 0.750 1
Ba3 0.157 0.128 0.250 1
Ba4 0.159 0.372 0.750 1
Fe1 0.076 0.377 0.250 1
Fe2 0.077 0.124 0.750 1
Fe3 0.246 0.147 0.750 1
O1 0.000 0.130 0.750 1
O2 0.000 0.374 0.250 1
O3 0.082 0.000 0.000 1
O4 0.084 0.500 0.000 1
O5 0.086 0.252 0.002 1
O6 0.177 0.104 0.750 1
O7 0.189 0.411 0.250 1
O8 0.250 0.250 0.000 1
```